# 1
Diffraction record for CsNaCoO2. The powder XRD pattern is calculated, not measured: it uses a PBE+U-relaxed structure and Cu Kα X-rays.

Structure:
Lattice parameters (Å, degrees): 6.7861 6.7861 6.8284 90.00 90.00 130.48
Element x y z (fractional)
Cs1 0.2500 0.7500 0.8039
Cs2 0.7500 0.2500 0.1961
Na1 0.0000 0.0000 0.5000
Na2 0.5000 0.5000 0.5000
Co1 0.2500 0.2500 0.0000
Co2 0.7500 0.7500 0.0000
O1 0.0032 0.9968 0.8190
O2 0.4968 0.5032 0.8190
O3 0.5032 0.4968 0.1810
O4 0.9968 0.0032 0.1810

Most intense lines, 2θ = 10–80°, by angle:
| 2θ/deg | Rel. int. |
| --- | --- |
| 12.96 | 50 |
| 21.58 | 100 |
| 28.98 | 50 |
| 29.89 | 82 |
| 31.44 | 27 |
| 34.76 | 17 |
| 37.25 | 22 |
| 42.09 | 18 |
| 51.44 | 16 |
| 60.10 | 24 |



# 2
Diffraction record for Cs2NpCoO6. The powder XRD pattern is calculated, not measured: it uses a PBE+U-relaxed structure and Cu Kα X-rays.

Structure:
Lattice parameters (Å, degrees): 7.0590 7.0590 7.0590 133.27 133.27 68.24
Element x y z (fractional)
Cs1 0.2500 0.7500 0.5000
Cs2 0.7500 0.2500 0.5000
Np1 0.0000 0.0000 0.0000
Co1 0.5000 0.5000 0.0000
O1 0.1621 0.1621 0.0000
O2 0.2667 0.2667 0.5334
O3 0.2667 0.7333 0.0000
O4 0.7333 0.2667 0.0000
O5 0.7333 0.7333 0.4666
O6 0.8379 0.8379 0.0000

Most intense lines, 2θ = 10–80°, by angle:
| 2θ/deg | Rel. int. |
| --- | --- |
| 17.56 | 30 |
| 27.21 | 100 |
| 30.59 | 23 |
| 31.97 | 31 |
| 44.83 | 20 |
| 45.84 | 17 |
| 52.34 | 19 |
| 54.12 | 30 |
| 56.12 | 16 |
| 72.08 | 14 |



Copy entry 1 word for word.
Diffraction record for CsNaCoO2. The powder XRD pattern is calculated, not measured: it uses a PBE+U-relaxed structure and Cu Kα X-rays.

Structure:
Lattice parameters (Å, degrees): 6.7861 6.7861 6.8284 90.00 90.00 130.48
Element x y z (fractional)
Cs1 0.2500 0.7500 0.8039
Cs2 0.7500 0.2500 0.1961
Na1 0.0000 0.0000 0.5000
Na2 0.5000 0.5000 0.5000
Co1 0.2500 0.2500 0.0000
Co2 0.7500 0.7500 0.0000
O1 0.0032 0.9968 0.8190
O2 0.4968 0.5032 0.8190
O3 0.5032 0.4968 0.1810
O4 0.9968 0.0032 0.1810

Most intense lines, 2θ = 10–80°, by angle:
| 2θ/deg | Rel. int. |
| --- | --- |
| 12.96 | 50 |
| 21.58 | 100 |
| 28.98 | 50 |
| 29.89 | 82 |
| 31.44 | 27 |
| 34.76 | 17 |
| 37.25 | 22 |
| 42.09 | 18 |
| 51.44 | 16 |
| 60.10 | 24 |



What did the second record say?
Diffraction record for Cs2NpCoO6. The powder XRD pattern is calculated, not measured: it uses a PBE+U-relaxed structure and Cu Kα X-rays.

Structure:
Lattice parameters (Å, degrees): 7.0590 7.0590 7.0590 133.27 133.27 68.24
Element x y z (fractional)
Cs1 0.2500 0.7500 0.5000
Cs2 0.7500 0.2500 0.5000
Np1 0.0000 0.0000 0.0000
Co1 0.5000 0.5000 0.0000
O1 0.1621 0.1621 0.0000
O2 0.2667 0.2667 0.5334
O3 0.2667 0.7333 0.0000
O4 0.7333 0.2667 0.0000
O5 0.7333 0.7333 0.4666
O6 0.8379 0.8379 0.0000

Most intense lines, 2θ = 10–80°, by angle:
| 2θ/deg | Rel. int. |
| --- | --- |
| 17.56 | 30 |
| 27.21 | 100 |
| 30.59 | 23 |
| 31.97 | 31 |
| 44.83 | 20 |
| 45.84 | 17 |
| 52.34 | 19 |
| 54.12 | 30 |
| 56.12 | 16 |
| 72.08 | 14 |